Simulated powder X-ray diffraction pattern of Tm4SnHg2 for CuKα, from DFT lattice parameters and positions (PBE).

Peak list (10 most intense, 2θ from 10° to 90°, sorted by position)
two_theta  d (Å)  I (rel.)  index
20.98  4.234  24.0  1 0 1
24.15  3.686  35.0  1 0 4
25.87  3.444  18.6  0 1 5
30.01  2.977  22.7  1 0 7
36.36  2.471  100.0  1 1 0
37.45  2.402  60.1  1 0 10
40.16  2.245  19.0  0 1 11
53.19  1.722  22.2  0 2 10
65.42  1.427  18.4  3 0 0
66.14  1.413  23.3  2 1 10

Crystal structure
Unit cell a=4.9416 b=4.9416 c=29.0142 alpha=90.00 beta=90.00 gamma=120.00
Space group R-3m (No. 166, hexagonal axes)
Unique sites:
Tm1 0.0000 0.0000 0.1196
Tm2 0.0000 0.0000 0.2973
Sn1 0.0000 0.0000 0.5000
Hg1 0.0000 0.0000 0.3983

Simulated powder X-ray diffraction pattern of Nd5YAl6 for CuKα, from DFT lattice parameters and positions (PBE).

Peak list (10 most intense, 2θ from 10° to 90°, sorted by position)
two_theta  d (Å)  I (rel.)  index
24.00  3.707  54.8  0 2 0
34.20  2.621  100.0  2 0 0
42.22  2.140  16.6  2 2 0
49.15  1.854  17.7  0 4 0
55.42  1.658  22.4  1 4 3
61.24  1.513  36.2  3 2 3
72.05  1.311  11.1  4 0 0
77.19  1.236  10.4  0 6 0
82.23  1.172  15.4  4 0 6
87.21  1.118  6.3  2 6 0

Crystal structure
Unit cell a=5.245 b=7.412 c=15.727 alpha=90.00 beta=90.00 gamma=90.00
Space group Immm (No. 71)
Unique sites:
Nd1 0.000 0.000 0.000
Nd2 0.000 0.000 0.328
Nd3 0.000 0.500 0.336
Y1 0.000 0.500 0.000
Al1 0.000 0.235 0.500
Al2 0.000 0.257 0.164

Simulated powder X-ray diffraction pattern of Tb3Dy4 for CuKα, from DFT lattice parameters and positions (PBE).

Peak list (8 most intense, 2θ from 10° to 90°, sorted by position)
two_theta  d (Å)  I (rel.)  index
30.93  2.891  100.0  1 1 2
35.87  2.504  50.6  4 0 1
51.63  1.770  36.0  4 2 1
61.41  1.510  42.7  7 1 0
64.46  1.446  12.3  2 2 4
76.02  1.252  5.7  8 0 2
84.30  1.149  17.8  7 3 0
87.02  1.120  16.7  8 2 2

Crystal structure
Unit cell a=11.196 b=5.006 c=7.920 alpha=90.00 beta=98.12 gamma=90.00
Space group C2/m (No. 12)
Unique sites:
Tb1 0.000 0.000 0.000
Tb2 0.071 0.500 0.714
Dy1 0.143 0.000 0.429
Dy2 0.214 0.500 0.143

Simulated powder X-ray diffraction pattern of YAg2 for CuKα, from DFT lattice parameters and positions (PBE).

Peak list (10 most intense, 2θ from 10° to 90°, sorted by position)
two_theta  d (Å)  I (rel.)  index
25.83  3.449  14.8  0 0 1
33.90  2.644  100.0  1 0 1
37.83  2.378  88.8  1 1 0
46.38  1.958  17.6  1 1 1
51.69  1.768  28.9  2 0 1
53.11  1.724  10.7  0 0 2
65.81  1.419  27.0  2 1 1
67.04  1.396  30.7  1 1 2
68.31  1.373  14.5  3 0 0
80.83  1.189  9.0  2 2 0

Crystal structure
Unit cell a=4.7565 b=4.7565 c=3.4489 alpha=90.00 beta=90.00 gamma=120.00
Space group P6/mmm (No. 191)
Unique sites:
Y1 0.0000 0.0000 0.0000
Ag1 0.3333 0.6667 0.5000